The following is a calculated powder diffractogram of Ag2Mo2O7. It was derived from a structure optimized by DFT (PBE+U), using Cu Ka.
Lines closer than 0.1° are merged.

Structure:
```
22
Lattice="6.173 0.000 0.000 -0.418 7.736 0.000 -2.701 -3.015 6.621" Properties=species:S:1:pos:R:3 pbc="T T T"
Ag 0.713 1.097 1.590
Ag -0.750 2.034 4.924
Ag 3.804 2.687 1.698
Ag 2.340 3.624 5.031
Mo -0.561 -1.861 4.783
Mo 0.873 4.842 2.126
Mo 2.181 -0.121 4.495
Mo 3.615 6.582 1.838
O -0.897 5.783 2.516
O -1.564 4.189 4.865
O 0.707 4.971 0.393
O 0.294 3.210 2.548
O -0.573 -1.382 6.483
O 0.319 0.134 4.306
O 0.885 5.486 4.361
O 2.169 -0.765 2.260
O 2.735 4.586 2.315
O 3.627 6.103 0.138
O 2.760 1.511 4.074
O 2.347 -0.250 6.228
O 4.618 0.531 1.756
O 3.951 -1.062 4.105
```

Main lines, sorted by position (10° ≤ 2θ ≤ 90°):
- 2θ 13.37, 6.621 Å, rel. 13
- 2θ 26.92, 3.312 Å, rel. 84
- 2θ 28.10, 3.176 Å, rel. 100
- 2θ 31.62, 2.829 Å, rel. 44
- 2θ 32.04, 2.794 Å, rel. 32
- 2θ 32.47, 2.758 Å, rel. 42
- 2θ 36.85, 2.439 Å, rel. 19
- 2θ 41.63, 2.169 Å, rel. 14
- 2θ 47.35, 1.920 Å, rel. 12
- 2θ 59.95, 1.543 Å, rel. 12